Computed PXRD pattern
Compound: Sr2FeCoO6
Radiation: Cu Kα, 1.54184 Å
Structure: a cell relaxed with PBE+U
Kinematic intensities with the Lorentz-polarization factor, no thermal factor.

Peak list (6 most intense, 10° ≤ 2θ ≤ 90°, in order of rising 2θ)
2θ (°)	I_rel
32.5	100.0
32.8	48.9
46.2	19.7
47.0	37.4
58.3	37.0
68.0	22.0

Cell and atoms:
Cell lengths 3.8665, 3.8665, 7.8568 Å; angles 90.00, 90.00, 90.00 degrees
Positions (direct):
Sr 0.0000 0.0000 0.2485
Sr 0.0000 0.0000 0.7515
Fe 0.5000 0.5000 0.5000
Co 0.5000 0.5000 0.0000
O 0.0000 0.5000 0.0000
O 0.0000 0.5000 0.5000
O 0.5000 0.0000 0.0000
O 0.5000 0.0000 0.5000
O 0.5000 0.5000 0.2497
O 0.5000 0.5000 0.7503